Record 1
# Dy2Mo3H2Se2O17
Theoretical powder XRD pattern, copper Kα. Input: DFT lattice parameters and positions (GGA+U).
Kinematic intensities with the Lorentz-polarization factor, no thermal factor.

Principal peaks in the range 10° ≤ 2θ ≤ 90°, by angle:
17.44 deg, d 5.084, I 52; 18.80 deg, d 4.720, I 61; 24.37 deg, d 3.653, I 47; 25.17 deg, d 3.539, I 100; 26.35 deg, d 3.382, I 93; 27.97 deg, d 3.190, I 66; 31.48 deg, d 2.842, I 52; 32.85 deg, d 2.727, I 47

Structure:
Unit cell a=6.864 b=7.305 c=14.367 alpha=90.00 beta=99.73 gamma=90.00
Sites, in units of the cell vectors:
1 Dy 0.113 0.250 0.041
2 Dy 0.244 0.750 0.378
3 Dy 0.756 0.250 0.622
4 Dy 0.887 0.750 0.959
5 Mo 0.290 0.004 0.638
6 Mo 0.290 0.496 0.638
7 Mo 0.370 0.750 0.832
8 Mo 0.630 0.250 0.168
9 Mo 0.710 0.504 0.362
10 Mo 0.710 0.996 0.362
11 H 0.253 0.143 0.860
12 H 0.253 0.357 0.860
13 H 0.747 0.643 0.140
14 H 0.747 0.857 0.140
15 Se 0.247 0.250 0.311
16 Se 0.289 0.750 0.117
17 Se 0.711 0.250 0.883
18 Se 0.753 0.750 0.689
19 O 0.047 0.074 0.645
20 O 0.047 0.426 0.645
21 O 0.130 0.750 0.863
22 O 0.149 0.573 0.056
23 O 0.149 0.927 0.056
24 O 0.202 0.250 0.891
25 O 0.213 0.750 0.224
26 O 0.262 0.567 0.519
27 O 0.262 0.933 0.519
28 O 0.269 0.750 0.678
29 O 0.301 0.250 0.199
30 O 0.377 0.503 0.786
31 O 0.377 0.997 0.786
32 O 0.385 0.060 0.358
33 O 0.385 0.440 0.358
34 O 0.406 0.250 0.629
35 O 0.472 0.250 0.057
36 O 0.528 0.750 0.943
37 O 0.594 0.750 0.371
38 O 0.615 0.560 0.642
39 O 0.615 0.940 0.642
40 O 0.623 0.003 0.214
41 O 0.623 0.497 0.214
42 O 0.699 0.750 0.801
43 O 0.731 0.250 0.322
44 O 0.738 0.067 0.481
45 O 0.738 0.433 0.481
46 O 0.787 0.250 0.776
47 O 0.798 0.750 0.109
48 O 0.851 0.073 0.944
49 O 0.851 0.427 0.944
50 O 0.870 0.250 0.137
51 O 0.953 0.574 0.355
52 O 0.953 0.926 0.355

Record 2
# KLaDyMnO6
Theoretical powder XRD pattern, copper Kα. Input: DFT lattice parameters and positions (GGA+U).
Kinematic intensities with the Lorentz-polarization factor, no thermal factor.

Principal peaks in the range 10° ≤ 2θ ≤ 90°, by angle:
18.75 deg, d 4.732, I 29; 30.85 deg, d 2.898, I 100; 36.35 deg, d 2.471, I 21; 44.20 deg, d 2.049, I 33; 54.87 deg, d 1.673, I 39; 64.29 deg, d 1.449, I 19; 73.00 deg, d 1.296, I 17; 89.47 deg, d 1.095, I 21

Structure:
Unit cell a=5.796 b=5.796 c=5.796 alpha=60.00 beta=60.00 gamma=60.00
Sites, in units of the cell vectors:
1 K 0.000 0.000 0.000
2 La 0.500 0.500 0.500
3 Dy 0.250 0.250 0.250
4 Mn 0.750 0.750 0.750
5 O 0.518 0.518 0.982
6 O 0.518 0.982 0.518
7 O 0.518 0.982 0.982
8 O 0.982 0.518 0.518
9 O 0.982 0.518 0.982
10 O 0.982 0.982 0.518

Record 3
# LiDyW2O8
Theoretical powder XRD pattern, copper Kα. Input: DFT lattice parameters and positions (GGA+U).
Kinematic intensities with the Lorentz-polarization factor, no thermal factor.

Principal peaks in the range 10° ≤ 2θ ≤ 90°, by angle:
17.55 deg, d 5.054, I 31; 18.89 deg, d 4.699, I 22; 23.13 deg, d 3.846, I 68; 28.25 deg, d 3.159, I 100; 29.99 deg, d 2.980, I 83; 35.13 deg, d 2.554, I 34; 35.26 deg, d 2.545, I 25; 49.71 deg, d 1.834, I 40

Structure:
Unit cell a=5.106 b=5.907 c=10.984 alpha=90.00 beta=113.04 gamma=90.00
Sites, in units of the cell vectors:
1 Li 0.000 0.242 0.250
2 Li 0.000 0.758 0.750
3 Dy 0.500 0.315 0.750
4 Dy 0.500 0.685 0.250
5 W 0.265 0.175 0.014
6 W 0.265 0.825 0.514
7 W 0.735 0.175 0.486
8 W 0.735 0.825 0.986
9 O 0.144 0.113 0.596
10 O 0.144 0.887 0.096
11 O 0.231 0.368 0.137
12 O 0.231 0.632 0.637
13 O 0.296 0.374 0.894
14 O 0.296 0.626 0.394
15 O 0.354 0.078 0.386
16 O 0.354 0.922 0.886
17 O 0.646 0.078 0.114
18 O 0.646 0.922 0.614
19 O 0.704 0.374 0.606
20 O 0.704 0.626 0.106
21 O 0.769 0.368 0.363
22 O 0.769 0.632 0.863
23 O 0.856 0.113 0.904
24 O 0.856 0.887 0.404

Record 4
# NaPrDyMnO6
Theoretical powder XRD pattern, copper Kα. Input: DFT lattice parameters and positions (GGA+U).
Kinematic intensities with the Lorentz-polarization factor, no thermal factor.

Principal peaks in the range 10° ≤ 2θ ≤ 90°, by angle:
18.93 deg, d 4.687, I 40; 31.16 deg, d 2.870, I 100; 36.72 deg, d 2.448, I 27; 44.65 deg, d 2.030, I 33; 48.90 deg, d 1.862, I 13; 55.45 deg, d 1.657, I 39; 64.98 deg, d 1.435, I 20; 73.82 deg, d 1.284, I 17

Structure:
Unit cell a=5.741 b=5.741 c=5.741 alpha=60.00 beta=60.00 gamma=60.00
Sites, in units of the cell vectors:
1 Na 0.000 0.000 0.000
2 Pr 0.500 0.500 0.500
3 Dy 0.250 0.250 0.250
4 Mn 0.750 0.750 0.750
5 O 0.518 0.518 0.982
6 O 0.518 0.982 0.518
7 O 0.518 0.982 0.982
8 O 0.982 0.518 0.518
9 O 0.982 0.518 0.982
10 O 0.982 0.982 0.518

Record 5
# SrNdDyMnO6
Theoretical powder XRD pattern, copper Kα. Input: DFT lattice parameters and positions (GGA+U).
Kinematic intensities with the Lorentz-polarization factor, no thermal factor.

Principal peaks in the range 10° ≤ 2θ ≤ 90°, by angle:
18.91 deg, d 4.694, I 15; 31.11 deg, d 2.874, I 100; 36.66 deg, d 2.451, I 11; 44.58 deg, d 2.032, I 31; 55.36 deg, d 1.660, I 39; 64.88 deg, d 1.437, I 19; 73.70 deg, d 1.285, I 17; 82.14 deg, d 1.173, I 6

Structure:
Unit cell a=5.749 b=5.749 c=5.749 alpha=60.00 beta=60.00 gamma=60.00
Sites, in units of the cell vectors:
1 Sr 0.000 0.000 0.000
2 Nd 0.500 0.500 0.500
3 Dy 0.250 0.250 0.250
4 Mn 0.750 0.750 0.750
5 O 0.516 0.516 0.984
6 O 0.516 0.984 0.516
7 O 0.516 0.984 0.984
8 O 0.984 0.516 0.516
9 O 0.984 0.516 0.984
10 O 0.984 0.984 0.516